Structure and computed X-ray diffraction stick pattern of Pr2Er4Tm (a cell relaxed with PBE; CuKα).
No peak broadening, texture or thermal motion is included.

Most intense lines, 10 to 90 degrees two-theta, by angle:
hkl, Position (°2θ), I_rel
2 1 1, 22.3, 9
3 0 1, 29.0, 100
3 1 2, 34.4, 87
2 0 4, 41.4, 9
3 3 2, 43.6, 9
4 2 2, 45.6, 21
4 3 1, 47.6, 11
1 1 6, 58.3, 10
6 1 1, 58.4, 20
6 2 0, 60.1, 8
5 1 4, 61.6, 12
4 4 4, 66.5, 6

Structure:
```
data_Pr2Er4Tm
_chemical_formula_sum 'Pr8 Er16 Tm4'
_cell_length_a 9.735
_cell_length_b 9.735
_cell_length_c 9.768
_cell_angle_alpha 90.00
_cell_angle_beta 90.00
_cell_angle_gamma 90.00
_space_group_name_H-M_alt 'I -4 2 d'
_space_group_IT_number 122
_space_group_name_Hall 'I -4 2bw'
loop_
_atom_site_label
_atom_site_type_symbol
_atom_site_fract_x
_atom_site_fract_y
_atom_site_fract_z
_atom_site_occupancy
Pr1 Pr 0.127 0.750 0.125 1
Er1 Er 0.081 0.669 0.458 1
Tm1 Tm 0.000 0.000 0.500 1
```